Diffraction record for Rb3AsF6. The powder X-ray diffraction pattern is theoretical, not measured: it uses a structure optimized by DFT (PBE) and a wavelength of 1.5418 Å.

Most intense lines, 15° ≤ 2θ ≤ 90°, sorted by position:
20.71 deg, I = 47
26.60 deg, I = 51
26.76 deg, I = 100
28.92 deg, I = 33
32.26 deg, I = 65
38.63 deg, I = 54
42.05 deg, I = 39
42.20 deg, I = 37

Structure:
Lattice parameters (Å, degrees): 7.1121 7.1299 7.1346 102.16 102.41 103.27
Space group P-1 (No. 2)
Asymmetric unit:
Rb (0.0000, 0.0000, 0.0000) [1 per cell]
Rb (0.0000, 0.5000, 0.5000) [1 per cell]
Rb (0.5000, 0.0000, 0.5000) [1 per cell]
As (0.0000, 0.0000, 0.5000) [1 per cell]
F (0.0715, 0.7909, 0.2935) [2 per cell]
F (0.2122, 0.2167, 0.4359) [2 per cell]
F (0.2148, 0.9492, 0.7175) [2 per cell]